For CaErAgCl6, a DFT-relaxed cell (GGA-PBE, Alexandria) gives the simulated powder XRD pattern in this record (Cu Kα (λ = 1.5418 Å)).
Neutral-atom scattering factors, no anomalous dispersion.

Structure:
```
18
Lattice="6.8933 0.0000 0.0000 -3.4466 5.9698 0.0000 0.0000 0.0000 12.0944" Properties=species:S:1:pos:R:3 pbc="T T T"
Ca 0.0000 3.9798 3.0236
Ca 3.4466 1.9899 9.0708
Er 0.0000 3.9798 9.0708
Er 3.4466 1.9899 3.0236
Ag 0.0000 0.0000 0.0000
Ag 0.0000 0.0000 6.0472
Cl -1.1238 2.1093 7.6016
Cl -2.1819 3.9419 10.5401
Cl 1.1238 2.1093 10.5401
Cl -1.0581 5.8884 7.6016
Cl 2.3886 0.0814 1.5544
Cl 1.2648 2.0279 4.4929
Cl 2.1819 3.9419 7.6016
Cl 1.0581 5.8884 10.5401
Cl 4.5047 0.0814 4.4929
Cl 2.3229 3.8605 1.5544
Cl 5.6285 2.0279 1.5544
Cl 4.5704 3.8605 4.4929
```

Peak list (10 most intense, 10 to 80 degrees two-theta, by angle)
2θ/deg  I/Imax  (hkl)
16.56  44  1 0 1
20.91  100  1 0 2
25.85  28  1 1 0
29.84  38  1 1 2
33.48  30  2 0 2
39.65  72  1 1 4
42.78  30  2 1 2
45.59  35  3 0 0
61.99  19  4 -2 4
79.64  13  3 0 8